For In2Se3, a DFT-relaxed cell (GGA-PBE, the Materials Project) gives the calculated X-ray powder pattern in this record (Cu Kα, 1.54184 Å).
Kinematic intensities with the Lorentz-polarization factor, no thermal factor.

Peak list (12 most intense, 2θ from 10° to 80°, low angle first)
| Position (°2θ) | d/Å | I/Imax | h k l |
| --- | --- | --- | --- |
| 18.27 | 4.855 | 11 | 0 0 6 |
| 24.89 | 3.577 | 9 | 1 0 1 |
| 25.46 | 3.499 | 20 | 0 1 2 |
| 27.61 | 3.231 | 100 | 1 0 4 |
| 32.87 | 2.724 | 40 | 1 0 7 |
| 42.35 | 2.134 | 38 | 0 1 11 |
| 43.49 | 2.081 | 50 | 1 1 0 |
| 47.79 | 1.903 | 16 | 1 0 13 |
| 52.28 | 1.750 | 25 | 0 2 4 |
| 62.32 | 1.490 | 12 | 2 0 11 |
| 70.30 | 1.339 | 12 | 2 1 4 |
| 79.05 | 1.211 | 12 | 1 2 11 |

Structural model:
a b c (Å): 4.1618 4.1618 29.1318
angles (deg): 90.00 90.00 120.00
Space group R3m (No. 160, hexagonal axes)
Asymmetric unit:
In 0.0000 0.0000 0.0000 x3
In 0.0000 0.0000 0.4636 x3
Se 0.0000 0.0000 0.1728 x3
Se 0.0000 0.0000 0.7133 x3
Se 0.0000 0.0000 0.9145 x3